1.
For MgAg3Hg2, a DFT-relaxed cell (GGA-PBE, Alexandria) gives the calculated powder XRD pattern in this record (Cu Kα X-rays).
Intensities are scaled so that the largest is 100.

Cell and atoms:
Cell lengths 8.705, 8.705, 9.617 Å; angles 120.35, 120.35, 22.43 degrees
Element x y z (fractional)
Mg 0.098 0.098 0.212
Mg 0.902 0.902 0.788
Ag 0.075 0.075 0.673
Ag 0.242 0.242 0.610
Ag 0.417 0.417 0.565
Ag 0.583 0.583 0.435
Ag 0.758 0.758 0.390
Ag 0.925 0.925 0.327
Hg 0.258 0.258 0.142
Hg 0.428 0.428 0.071
Hg 0.572 0.572 0.929
Hg 0.742 0.742 0.858

Principal peaks in the range 2θ = 10–90°, in order of falling intensity:
d 2.441, 36.8°, intensity 100
d 2.374, 37.9°, intensity 68
d 2.401, 37.5°, intensity 30
d 1.383, 67.7°, intensity 21
d 1.693, 54.2°, intensity 16
d 7.831, 11.3°, intensity 13
d 1.391, 67.3°, intensity 11
d 1.665, 55.2°, intensity 11
d 1.368, 68.6°, intensity 9
d 1.422, 65.6°, intensity 9

2.
For PuMg2Ag2Hg2, a DFT-relaxed cell (GGA-PBE, Alexandria) gives the calculated powder XRD pattern in this record (Cu Kα X-rays).
Intensities are scaled so that the largest is 100.

Cell and atoms:
Cell lengths 8.502, 8.502, 8.502 Å; angles 33.12, 33.12, 33.12 degrees
Element x y z (fractional)
Pu 0.000 0.000 0.000
Mg 0.133 0.133 0.133
Mg 0.867 0.867 0.867
Ag 0.250 0.250 0.250
Ag 0.750 0.750 0.750
Hg 0.405 0.405 0.405
Hg 0.595 0.595 0.595

Principal peaks in the range 2θ = 10–90°, in order of falling intensity:
d 2.424, 37.1°, intensity 100
d 3.165, 28.2°, intensity 90
d 8.028, 11.0°, intensity 52
d 2.446, 36.7°, intensity 36
d 2.661, 33.7°, intensity 35
d 1.546, 59.8°, intensity 27
d 1.924, 47.2°, intensity 23
d 1.507, 61.5°, intensity 21
d 1.399, 66.9°, intensity 18
d 2.075, 43.6°, intensity 17

3.
For Sr2Mg12Ag3Hg, a DFT-relaxed cell (GGA-PBE, Alexandria) gives the calculated powder XRD pattern in this record (Cu Kα X-rays).
Intensities are scaled so that the largest is 100.

Cell and atoms:
Cell lengths 8.980, 8.980, 8.980 Å; angles 64.24, 64.24, 64.24 degrees
Element x y z (fractional)
Sr 0.103 0.103 0.103
Sr 0.897 0.897 0.897
Mg 0.132 0.621 0.621
Mg 0.164 0.164 0.595
Mg 0.164 0.595 0.164
Mg 0.379 0.379 0.868
Mg 0.379 0.868 0.379
Mg 0.405 0.836 0.836
Mg 0.595 0.164 0.164
Mg 0.621 0.132 0.621
Mg 0.621 0.621 0.132
Mg 0.836 0.405 0.836
Mg 0.836 0.836 0.405
Mg 0.868 0.379 0.379
Ag 0.000 0.500 0.500
Ag 0.500 0.000 0.500
Ag 0.500 0.500 0.000
Hg 0.500 0.500 0.500

Principal peaks in the range 2θ = 10–90°, in order of falling intensity:
d 3.854, 23.1°, intensity 100
d 3.960, 22.5°, intensity 98
d 2.387, 37.7°, intensity 89
d 3.782, 23.5°, intensity 77
d 7.708, 11.5°, intensity 61
d 2.236, 40.3°, intensity 57
d 2.569, 34.9°, intensity 35
d 2.519, 35.6°, intensity 35
d 4.059, 21.9°, intensity 34
d 2.019, 44.9°, intensity 26